Computed XRD peak list of Zr4CN for Cu Kα X-rays, from a structure optimized by DFT (GGA-PBE).

Crystal structure
Unit cell a=7.7498 b=7.7498 c=6.7284 alpha=90.00 beta=90.00 gamma=90.00
Space group I4_1md (No. 109)
Inequivalent atoms, fractional coordinates:
Zr: 0.0000 0.2018 0.0000
Zr: 0.0000 0.2032 0.4940
C: 0.0000 0.0000 0.7437
N: 0.0000 0.0000 0.2507

Peak list (8 most intense, 2θ = 5–70°, low angle first)
h k l	d/Å	2θ (°)	I (rel.)
2 2 0	2.740	32.7	430
2 0 2	2.540	35.3	1000
3 1 0	2.451	36.7	312
4 0 0	1.937	46.9	145
3 3 2	1.605	57.4	196
4 2 2	1.541	60.1	176
2 2 4	1.434	65.1	116
5 1 2	1.386	67.6	219

=====

Computed XRD peak list of LiHf2UN4 for Cu Kα X-rays, from a structure optimized by DFT (GGA-PBE).

Crystal structure
Unit cell a=4.5420 b=4.5420 c=9.2864 alpha=90.00 beta=90.00 gamma=90.00
Space group I4/mmm (No. 139)
Inequivalent atoms, fractional coordinates:
Li: 0.0000 0.0000 0.0000
Hf: 0.0000 0.5000 0.2500
U: 0.0000 0.0000 0.5000
N: 0.0000 0.0000 0.2570
N: 0.0000 0.5000 0.0000

Peak list (8 most intense, 2θ = 5–70°, low angle first)
h k l	d/Å	2θ (°)	I (rel.)
1 0 1	4.080	21.8	530
1 1 2	2.641	33.9	1000
0 0 4	2.322	38.8	252
2 0 0	2.271	39.7	473
2 1 1	1.984	45.7	158
2 0 4	1.623	56.7	330
2 2 0	1.606	57.4	160
3 1 2	1.372	68.4	342